1.
The following is a calculated XRD peak list of ErPd. It was derived from a GGA-PBE-relaxed structure, using Cu Kα X-rays.
Intensities are scaled so that the largest is 100.

Crystal structure
a b c (Å): 3.481 3.481 3.481
angles (deg): 90.00 90.00 90.00
Space group Pm-3m (No. 221)
One atom of each set of equivalent atoms:
Er1 0.000 0.000 0.000 (multiplicity 1)
Pd1 0.500 0.500 0.500 (multiplicity 1)

Largest 6 diffraction maxima, low angle first, 5° ≤ 2θ ≤ 70°:
2theta	intensity	index
25.6	5	1 0 0
36.5	100	1 1 0
45.1	2	1 1 1
52.6	18	2 0 0
59.4	2	2 1 0
65.7	36	2 1 1

---

2.
The following is a calculated XRD peak list of HoNiGe3. It was derived from a GGA-PBE-relaxed structure, using Cu Kα X-rays.
Intensities are scaled so that the largest is 100.

Crystal structure
a b c (Å): 4.103 21.564 4.090
angles (deg): 90.00 90.00 90.00
Space group Cmmm (No. 65)
One atom of each set of equivalent atoms:
Ho1 0.000 0.169 0.000 (multiplicity 4)
Ni1 0.000 0.389 0.500 (multiplicity 4)
Ge1 0.000 0.058 0.500 (multiplicity 4)
Ge2 0.000 0.283 0.500 (multiplicity 4)
Ge3 0.000 0.443 0.000 (multiplicity 4)

Largest 6 diffraction maxima, low angle first, 5° ≤ 2θ ≤ 70°:
2theta	intensity	index
33.2	36	0 6 1
33.3	100	1 3 1
43.8	22	1 9 0
44.1	25	2 0 0
44.3	24	0 0 2
56.3	16	2 6 1

---

3.
The following is a calculated XRD peak list of PrNdMg2. It was derived from a GGA-PBE-relaxed structure, using Cu Kα X-rays.
Intensities are scaled so that the largest is 100.

Crystal structure
a b c (Å): 7.805 7.805 7.805
angles (deg): 90.00 90.00 90.00
Space group Fm-3m (No. 225)
One atom of each set of equivalent atoms:
Pr1 0.000 0.000 0.000 (multiplicity 4)
Nd1 0.000 0.000 0.500 (multiplicity 4)
Mg1 0.250 0.250 0.250 (multiplicity 8)

Largest 6 diffraction maxima, low angle first, 5° ≤ 2θ ≤ 70°:
2theta	intensity	index
22.8	58	2 0 0
32.4	100	2 2 0
40.0	18	2 2 2
46.5	18	4 0 0
52.4	25	4 2 0
57.9	38	4 2 2

---

4.
The following is a calculated XRD peak list of MgSi2. It was derived from a GGA-PBE-relaxed structure, using Cu Kα X-rays.
Intensities are scaled so that the largest is 100.

Crystal structure
a b c (Å): 10.301 3.752 12.161
angles (deg): 90.00 103.31 90.00
Space group Cm (No. 8)
One atom of each set of equivalent atoms:
Mg1 0.000 0.000 0.000 (multiplicity 2)
Mg2 0.024 0.500 0.473 (multiplicity 2)
Mg3 0.173 0.500 0.712 (multiplicity 2)
Mg4 0.421 0.500 0.249 (multiplicity 2)
Si1 0.022 0.000 0.782 (multiplicity 2)
Si2 0.143 0.500 0.293 (multiplicity 2)
Si3 0.196 0.000 0.189 (multiplicity 2)
Si4 0.242 0.000 0.904 (multiplicity 2)
Si5 0.245 0.500 0.033 (multiplicity 2)
Si6 0.253 0.000 0.565 (multiplicity 2)
Si7 0.317 0.500 0.463 (multiplicity 2)
Si8 0.383 0.000 0.766 (multiplicity 2)

Largest 6 diffraction maxima, low angle first, 5° ≤ 2θ ≤ 70°:
2theta	intensity	index
27.0	57	1 1 1
30.2	43	0 0 4
35.5	76	4 0 -2
39.3	100	3 1 -3
48.1	41	1 1 5
48.5	46	0 2 0

---

5.
The following is a calculated XRD peak list of K3NbP2O9. It was derived from a GGA-PBE-relaxed structure, using Cu Kα X-rays.
Intensities are scaled so that the largest is 100.

Crystal structure
a b c (Å): 5.294 17.936 9.940
angles (deg): 90.00 90.08 90.00
Space group P2_1/c (No. 14)
One atom of each set of equivalent atoms:
K1 0.244 0.137 0.077 (multiplicity 4)
K2 0.250 0.074 0.458 (multiplicity 4)
K3 0.251 0.705 0.042 (multiplicity 4)
Nb1 0.236 0.589 0.686 (multiplicity 4)
P1 0.255 0.211 0.764 (multiplicity 4)
P2 0.263 0.539 0.329 (multiplicity 4)
O1 0.006 0.178 0.832 (multiplicity 4)
O2 0.060 0.023 0.858 (multiplicity 4)
O3 0.226 0.580 0.864 (multiplicity 4)
O4 0.227 0.571 0.189 (multiplicity 4)
O5 0.251 0.597 0.444 (multiplicity 4)
O6 0.252 0.199 0.613 (multiplicity 4)
O7 0.282 0.209 0.310 (multiplicity 4)
O8 0.472 0.501 0.660 (multiplicity 4)
O9 0.477 0.163 0.832 (multiplicity 4)

Largest 6 diffraction maxima, low angle first, 5° ≤ 2θ ≤ 70°:
2theta	intensity	index
13.3	64	0 2 1
22.4	58	1 3 0
28.8	100	1 3 -2
28.8	59	1 3 2
31.4	64	1 5 1
33.9	59	2 0 0

---

6.
The following is a calculated XRD peak list of CoC8N6. It was derived from a GGA-PBE-relaxed structure, using Cu Kα X-rays.
Intensities are scaled so that the largest is 100.

Crystal structure
a b c (Å): 6.991 5.352 10.652
angles (deg): 90.00 90.00 90.00
Space group Pmna (No. 53)
One atom of each set of equivalent atoms:
Co1 0.000 0.000 0.000 (multiplicity 2)
C1 0.000 0.396 0.261 (multiplicity 4)
C2 0.000 0.404 0.653 (multiplicity 4)
C3 0.169 0.296 0.609 (multiplicity 8)
N1 0.000 0.228 0.191 (multiplicity 4)
N2 0.195 0.200 0.934 (multiplicity 8)

Largest 6 diffraction maxima, low angle first, 5° ≤ 2θ ≤ 70°:
2theta	intensity	index
15.2	53	1 0 1
16.6	28	0 0 2
22.5	100	1 1 1
23.6	52	0 1 2
28.2	23	1 0 3
30.2	43	0 1 3

---

Please write out number 1 again, unchanged.
The following is a calculated XRD peak list of ErPd. It was derived from a GGA-PBE-relaxed structure, using Cu Kα X-rays.
Intensities are scaled so that the largest is 100.

Crystal structure
a b c (Å): 3.481 3.481 3.481
angles (deg): 90.00 90.00 90.00
Space group Pm-3m (No. 221)
One atom of each set of equivalent atoms:
Er1 0.000 0.000 0.000 (multiplicity 1)
Pd1 0.500 0.500 0.500 (multiplicity 1)

Largest 6 diffraction maxima, low angle first, 5° ≤ 2θ ≤ 70°:
2theta	intensity	index
25.6	5	1 0 0
36.5	100	1 1 0
45.1	2	1 1 1
52.6	18	2 0 0
59.4	2	2 1 0
65.7	36	2 1 1